Starting from DFT lattice parameters and positions (GGA-PBE), the powder X-ray diffraction pattern of TmAlO3 was computed for copper Kα.

Main lines, low angle first (10° ≤ 2θ ≤ 90°):
2θ 15.5, I = 83; 2θ 30.1, I = 66; 2θ 31.2, I = 30; 2θ 34.0, I = 100; 2θ 43.9, I = 65; 2θ 53.4, I = 31; 2θ 55.9, I = 19; 2θ 57.4, I = 30; 2θ 63.2, I = 26; 2θ 64.8, I = 17

Atomic structure:
Cell lengths 3.4313, 3.4313, 11.4583 Å; angles 90.00, 90.00, 120.00 degrees
Space group P6_3/mmc (No. 194)
Symmetry-distinct sites (fractional):
Tm1 0.0000 0.0000 0.0000
Al1 0.3333 0.6667 0.2500
O1 0.0000 0.0000 0.2500
O2 0.3333 0.6667 0.0902